Simulated X-ray diffraction stick pattern
Compound: NaLiH4Pd
Radiation: Cu Kα (weighted mean of Kα1 and Kα2)
Structure: a cell relaxed with PBE
Neutral-atom scattering factors, no anomalous dispersion.

Structure:
Cell: 3.6254 3.6254 10.8015 Å, 90.00 90.00 90.00°
Space group I4mm (No. 107)
Asymmetric unit:
Na: 0.0000 0.0000 0.0000 x2
Li: 0.0000 0.0000 0.7289 x2
H: 0.0000 0.0000 0.1939 x2
H: 0.0000 0.0000 0.5114 x2
H: 0.0000 0.5000 0.3442 x4
Pd: 0.0000 0.0000 0.3483 x2

The 10 most intense peaks (2θ from 10° to 90°), sorted by position:
Position (°2θ)  intensity  hkl
16.41  94  0 0 2
25.92  100  1 0 1
35.00  49  1 1 0
35.13  89  1 0 3
38.89  37  1 1 2
49.06  38  1 0 5
50.34  18  2 0 0
53.31  16  2 0 2
57.48  21  2 1 1
62.86  32  2 1 3

Simulated X-ray diffraction stick pattern
Compound: NaLi3H6Pt2
Radiation: Cu Kα (weighted mean of Kα1 and Kα2)
Structure: a cell relaxed with PBE
Neutral-atom scattering factors, no anomalous dispersion.

Structure:
Cell: 4.5144 4.5144 7.1699 Å, 90.00 90.00 120.00°
Space group P-3m1 (No. 164)
Asymmetric unit:
Na: 0.0000 0.0000 0.0000 x1
Li: 0.0000 0.0000 0.5000 x1
Li: 0.3333 0.6667 0.2739 x2
H: 0.1577 0.3153 0.7407 x6
Pt: 0.3333 0.6667 0.6154 x2

The 10 most intense peaks (2θ from 10° to 90°), sorted by position:
Position (°2θ)  intensity  hkl
12.34  92  0 0 1
22.75  25  1 0 0
25.96  100  1 0 1
33.93  75  0 1 2
39.94  40  1 1 0
41.96  28  1 1 1
44.43  29  0 1 3
48.26  18  0 2 1
53.38  21  2 0 2
68.71  20  1 2 2

Simulated X-ray diffraction stick pattern
Compound: RbNa2LiH4
Radiation: Cu Kα (weighted mean of Kα1 and Kα2)
Structure: a cell relaxed with PBE
Neutral-atom scattering factors, no anomalous dispersion.

Structure:
Cell: 3.5155 12.0681 11.6946 Å, 90.00 90.00 90.00°
Space group Cmcm (No. 63)
Asymmetric unit:
Rb: 0.0000 0.0993 0.2500 x4
Na: 0.0000 0.3646 0.0438 x8
Li: 0.0000 0.1706 0.7500 x4
H: 0.0000 0.0000 0.0000 x4
H: 0.0000 0.2560 0.6191 x8
H: 0.0000 0.4025 0.2500 x4

The 10 most intense peaks (2θ from 10° to 90°), sorted by position:
Position (°2θ)  intensity  hkl
15.15  23  0 0 2
16.53  60  0 2 1
27.24  58  0 2 3
27.51  27  1 1 1
29.61  25  0 4 0
30.58  100  0 0 4
34.75  43  1 3 1
37.29  18  1 3 2
48.32  19  1 5 2
52.19  18  1 3 5

Simulated X-ray diffraction stick pattern
Compound: NaLi2SbH
Radiation: Cu Kα (weighted mean of Kα1 and Kα2)
Structure: a cell relaxed with PBE
Neutral-atom scattering factors, no anomalous dispersion.

Structure:
Cell: 3.5601 4.7916 5.1147 Å, 90.00 90.00 90.00°
Space group Pmmm (No. 47)
Asymmetric unit:
Na: 0.0000 0.0000 0.0000 x1
Li: 0.0000 0.5000 0.5000 x1
Li: 0.5000 0.5000 0.0000 x1
Sb: 0.5000 0.0000 0.5000 x1
H: 0.0000 0.5000 0.0000 x1

The 10 most intense peaks (2θ from 10° to 90°), sorted by position:
Position (°2θ)  intensity  hkl
17.34  58  0 0 1
18.52  99  0 1 0
25.01  24  1 0 0
25.47  50  0 1 1
30.60  61  1 0 1
31.30  29  1 1 0
35.09  28  0 0 2
36.00  100  1 1 1
39.96  28  0 1 2
49.18  31  1 2 1

Simulated X-ray diffraction stick pattern
Compound: Li2Nb2H7
Radiation: Cu Kα (weighted mean of Kα1 and Kα2)
Structure: a cell relaxed with PBE
Neutral-atom scattering factors, no anomalous dispersion.

Structure:
Cell: 6.0120 6.4542 4.5903 Å, 90.00 90.00 90.00°
Space group Cmmm (No. 65)
Asymmetric unit:
Li: 0.0000 0.2408 0.0000 x4
Nb: 0.2183 0.0000 0.5000 x4
H: 0.0000 0.0000 0.2122 x4
H: 0.0000 0.5000 0.0000 x2
H: 0.2500 0.2500 0.2675 x8

The 10 most intense peaks (2θ from 10° to 90°), sorted by position:
Position (°2θ)  intensity  hkl
19.34  100  0 0 1
27.64  41  0 2 0
29.72  30  2 0 0
33.96  59  0 2 1
35.70  46  2 0 1
39.25  19  0 0 2
41.03  27  2 2 0
45.74  35  2 2 1
48.68  18  0 2 2
58.08  22  2 2 2

Simulated X-ray diffraction stick pattern
Compound: LiNb2HPt
Radiation: Cu Kα (weighted mean of Kα1 and Kα2)
Structure: a cell relaxed with PBE
Neutral-atom scattering factors, no anomalous dispersion.

Structure:
Cell: 4.0543 4.0543 4.0532 Å, 90.00 90.00 90.00°
Space group P4/mmm (No. 123)
Asymmetric unit:
Li: 0.0000 0.0000 0.0000 x1
Nb: 0.0000 0.5000 0.5000 x2
H: 0.0000 0.0000 0.5000 x1
Pt: 0.5000 0.5000 0.0000 x1

The 10 most intense peaks (2θ from 10° to 90°), sorted by position:
Position (°2θ)  intensity  hkl
21.92  48  1 0 0
31.20  41  1 0 1
38.46  100  1 1 1
44.71  50  2 0 0
50.33  22  2 1 0
55.52  17  2 1 1
65.08  32  2 2 0
69.57  10  3 0 0
78.20  38  3 1 1
82.41  11  2 2 2

Simulated X-ray diffraction stick pattern
Compound: LiNbHS
Radiation: Cu Kα (weighted mean of Kα1 and Kα2)
Structure: a cell relaxed with PBE
Neutral-atom scattering factors, no anomalous dispersion.

Structure:
Cell: 3.1906 3.1907 6.4451 Å, 89.81 75.76 60.03°
Space group P1 (No. 1)
Asymmetric unit:
Li: 0.0000 0.0000 0.0000 x1
Nb: 0.3500 0.8289 0.4674 x1
H: 0.7884 0.1104 0.3070 x1
S: 0.5080 0.2482 0.7341 x1

The 10 most intense peaks (2θ from 10° to 90°), sorted by position:
Position (°2θ)  intensity  hkl
14.32  100  0 0 1
28.88  9  0 0 2
32.76  23  0 1 0
33.84  52  0 1 -1
37.94  16  1 0 2
40.66  25  1 1 2
40.81  12  0 1 -2
47.60  17  1 0 3
57.78  15  2 1 1
59.82  11  0 0 4

Simulated X-ray diffraction stick pattern
Compound: LiNbHS
Radiation: Cu Kα (weighted mean of Kα1 and Kα2)
Structure: a cell relaxed with PBE
Neutral-atom scattering factors, no anomalous dispersion.

Structure:
Cell: 3.2202 3.2202 18.0914 Å, 90.00 90.00 120.00°
Space group R3m (No. 160, hexagonal axes)
Asymmetric unit:
Li: 0.0000 0.0000 0.0000 x3
Nb: 0.0000 0.0000 0.1793 x3
H: 0.0000 0.0000 0.8940 x3
S: 0.0000 0.0000 0.4228 x3

The 10 most intense peaks (2θ from 10° to 90°), sorted by position:
Position (°2θ)  intensity  hkl
14.69  100  0 0 3
29.63  10  0 0 6
32.48  52  1 0 1
33.63  15  0 1 2
37.90  52  1 0 4
40.85  31  0 1 5
47.99  14  1 0 7
52.07  18  0 1 8
57.21  16  1 1 0
59.42  14  1 1 3

Simulated X-ray diffraction stick pattern
Compound: LiNdH3
Radiation: Cu Kα (weighted mean of Kα1 and Kα2)
Structure: a cell relaxed with PBE
Neutral-atom scattering factors, no anomalous dispersion.

Structure:
Cell: 4.0071 4.7703 6.2623 Å, 90.00 108.72 90.00°
Space group P2_1/m (No. 11)
Asymmetric unit:
Li: 0.0786 0.2500 0.1562 x2
Nd: 0.3536 0.2500 0.7076 x2
H: 0.1843 0.5106 0.3685 x4
H: 0.4370 0.7500 0.8740 x2

The 10 most intense peaks (2θ from 10° to 90°), sorted by position:
Position (°2θ)  intensity  hkl
23.43  37  1 0 -1
23.94  91  0 1 1
30.10  100  0 0 2
31.79  42  1 0 1
37.72  17  0 2 0
44.88  14  1 2 -1
48.51  30  1 1 2
50.13  25  1 2 1
51.84  23  2 1 -2
60.30  16  2 2 -1

Simulated X-ray diffraction stick pattern
Compound: LiNi4H5
Radiation: Cu Kα (weighted mean of Kα1 and Kα2)
Structure: a cell relaxed with PBE
Neutral-atom scattering factors, no anomalous dispersion.

Structure:
Cell: 5.9094 5.9094 3.7082 Å, 90.00 90.00 90.00°
Space group I4/m (No. 87)
Asymmetric unit:
Li: 0.0000 0.0000 0.0000 x2
Ni: 0.0989 0.2973 0.5000 x8
H: 0.0000 0.0000 0.5000 x2
H: 0.1244 0.3160 0.0000 x8

The 10 most intense peaks (2θ from 10° to 90°), sorted by position:
Position (°2θ)  intensity  hkl
21.26  14  1 1 0
28.42  17  1 0 1
30.25  7  2 0 0
41.98  100  2 1 1
48.73  35  1 3 0
49.14  16  0 0 2
71.38  10  4 2 0
71.71  20  1 3 2
86.41  22  5 0 1
87.03  11  2 1 3

Simulated X-ray diffraction stick pattern
Compound: Li2Ni2H7
Radiation: Cu Kα (weighted mean of Kα1 and Kα2)
Structure: a cell relaxed with PBE
Neutral-atom scattering factors, no anomalous dispersion.

Structure:
Cell: 5.4345 6.1820 4.2702 Å, 90.00 90.00 90.00°
Space group Cmmm (No. 65)
Asymmetric unit:
Li: 0.2404 0.0000 0.0000 x4
Ni: 0.0000 0.2730 0.5000 x4
H: 0.0000 0.0000 0.5000 x2
H: 0.0000 0.5000 0.2962 x4
H: 0.2500 0.2500 0.2771 x8

The 10 most intense peaks (2θ from 10° to 90°), sorted by position:
Position (°2θ)  intensity  hkl
20.80  100  0 0 1
28.89  39  0 2 0
32.96  28  2 0 0
35.86  57  0 2 1
39.30  49  2 0 1
42.33  18  0 0 2
44.39  27  2 2 0
49.50  30  2 2 1
52.06  19  0 2 2
63.01  21  2 2 2

Simulated X-ray diffraction stick pattern
Compound: Li4Ni3H10
Radiation: Cu Kα (weighted mean of Kα1 and Kα2)
Structure: a cell relaxed with PBE
Neutral-atom scattering factors, no anomalous dispersion.

Structure:
Cell: 3.2551 3.2551 22.6795 Å, 90.00 90.00 90.00°
Space group I4/mmm (No. 139)
Asymmetric unit:
Li: 0.0000 0.0000 0.0692 x4
Li: 0.0000 0.0000 0.2013 x4
Ni: 0.0000 0.0000 0.3567 x4
Ni: 0.0000 0.0000 0.5000 x2
H: 0.0000 0.0000 0.2867 x4
H: 0.0000 0.0000 0.4273 x4
H: 0.0000 0.5000 0.0000 x4
H: 0.0000 0.5000 0.1400 x8

The 10 most intense peaks (2θ from 10° to 90°), sorted by position:
Position (°2θ)  intensity  hkl
15.63  10  0 0 4
23.54  31  0 0 6
27.69  74  1 0 1
31.56  12  0 0 8
39.20  100  1 1 0
46.18  17  1 1 6
56.54  12  2 0 0
64.10  12  2 1 1
70.98  21  2 1 7
71.17  10  1 1 14